The following is a calculated X-ray powder pattern of Hg2MoF5. It was derived from DFT lattice parameters and positions (PBE+U), using CuKα.

Cell and atoms:
Unit cell a=4.2624 b=6.4950 c=6.7038 alpha=83.97 beta=71.49 gamma=71.19
Positions (direct):
Hg 0.0000 0.0000 0.0000
Hg 0.3568 0.0042 0.2830
Mo 0.1740 0.5028 0.6415
F 0.0220 0.5015 0.9472
F 0.0295 0.8266 0.6414
F 0.3187 0.1787 0.6414
F 0.3262 0.5031 0.3358
F 0.6739 0.5029 0.6415

Most intense lines, 10° ≤ 2θ ≤ 80°, low angle first:
14.41°, intensity 57, (0 1 0); 20.09°, intensity 100, (0 1 -1); 23.13°, intensity 58, (1 0 0); 29.05°, intensity 51, (0 2 0); 30.63°, intensity 95, (1 1 2); 37.02°, intensity 29, (-1 1 1); 42.01°, intensity 31, (1 0 3); 44.89°, intensity 33, (2 0 1)